(1)
Calculated X-ray powder pattern
Compound: NaScVW
Radiation: Cu Kα
Structure: a structure optimized by DFT (GGA-PBE)
No peak broadening, texture or thermal motion is included.

Largest 10 diffraction maxima, in order of rising 2θ, 10 to 80 degrees two-theta:
| (hkl) | d/Å | I (rel.) |
| --- | --- | --- |
| 0 0 2 | 5.108 | 53 |
| 1 1 -1 | 2.598 | 21 |
| 1 1 1 | 2.586 | 24 |
| 0 0 4 | 2.554 | 34 |
| 2 0 0 | 2.416 | 48 |
| 1 1 -2 | 2.382 | 80 |
| 1 1 2 | 2.363 | 100 |
| 1 1 -3 | 2.116 | 39 |
| 1 1 3 | 2.096 | 35 |
| 0 0 5 | 2.043 | 20 |

Cell and atoms:
a b c (Å): 4.832 3.220 10.217
angles (deg): 90.00 91.00 90.00
Space group Cm (No. 8)
Inequivalent atoms, fractional coordinates:
1 Na 0.000 0.000 0.000
2 Sc 0.486 0.000 0.310
3 V 0.002 0.500 0.724
4 W 0.495 0.500 0.541

(2)
Calculated X-ray powder pattern
Compound: Tb4Pr11Dy9
Radiation: Cu Kα
Structure: a structure optimized by DFT (GGA-PBE)
No peak broadening, texture or thermal motion is included.

Largest 10 diffraction maxima, in order of rising 2θ, 10 to 80 degrees two-theta:
| (hkl) | d/Å | I (rel.) |
| --- | --- | --- |
| 4 6 0 | 3.039 | 100 |
| 2 4 1 | 3.002 | 35 |
| 3 3 1 | 2.916 | 36 |
| 6 0 0 | 2.854 | 18 |
| 1 9 0 | 2.838 | 30 |
| 0 6 1 | 2.804 | 95 |
| 4 0 1 | 2.794 | 95 |
| 6 2 0 | 2.785 | 20 |
| 0 0 2 | 1.845 | 26 |
| 4 6 2 | 1.577 | 33 |

Cell and atoms:
a b c (Å): 17.112 25.900 3.689
angles (deg): 90.00 90.00 90.00
Space group Cmmm (No. 65)
Inequivalent atoms, fractional coordinates:
1 Tb 0.157 0.102 0.000
2 Pr 0.000 0.132 0.500
3 Pr 0.000 0.340 0.500
4 Pr 0.000 0.500 0.500
5 Pr 0.208 0.000 0.500
6 Pr 0.224 0.319 0.500
7 Dy 0.000 0.000 0.000
8 Dy 0.102 0.233 0.000
9 Dy 0.140 0.427 0.000

(3)
Calculated X-ray powder pattern
Compound: DyHo4Bi3
Radiation: Cu Kα
Structure: a structure optimized by DFT (GGA-PBE)
No peak broadening, texture or thermal motion is included.

Largest 10 diffraction maxima, in order of rising 2θ, 10 to 80 degrees two-theta:
| (hkl) | d/Å | I (rel.) |
| --- | --- | --- |
| 1 1 2 | 3.244 | 100 |
| 1 2 1 | 2.888 | 62 |
| 0 2 4 | 2.743 | 52 |
| 1 1 4 | 2.541 | 51 |
| 1 2 3 | 2.502 | 75 |
| 0 3 3 | 2.466 | 42 |
| 1 3 2 | 2.229 | 30 |
| 2 0 0 | 2.012 | 33 |
| 1 5 4 | 1.453 | 27 |
| 1 3 8 | 1.413 | 31 |

Cell and atoms:
a b c (Å): 4.023 8.678 14.158
angles (deg): 90.00 90.00 90.00
Space group Immm (No. 71)
Inequivalent atoms, fractional coordinates:
1 Dy 0.000 0.000 0.000
2 Ho 0.000 0.296 0.132
3 Bi 0.000 0.000 0.500
4 Bi 0.000 0.500 0.321

(4)
Calculated X-ray powder pattern
Compound: ZnHg2B2O6
Radiation: Cu Kα
Structure: a structure optimized by DFT (GGA-PBE)
No peak broadening, texture or thermal motion is included.

Largest 10 diffraction maxima, in order of rising 2θ, 10 to 80 degrees two-theta:
| (hkl) | d/Å | I (rel.) |
| --- | --- | --- |
| 1 1 0 | 4.339 | 28 |
| 1 1 -1 | 3.924 | 100 |
| 2 0 -2 | 2.986 | 30 |
| 1 1 1 | 2.947 | 50 |
| 3 1 -1 | 2.628 | 57 |
| 0 2 0 | 2.604 | 44 |
| 1 1 -2 | 2.578 | 34 |
| 2 2 -2 | 1.962 | 38 |
| 2 2 1 | 1.827 | 23 |
| 5 1 -3 | 1.584 | 21 |

Cell and atoms:
a b c (Å): 9.133 5.209 6.063
angles (deg): 90.00 120.85 90.00
Space group C2/m (No. 12)
Inequivalent atoms, fractional coordinates:
1 Zn 0.000 0.000 0.000
2 Hg 0.201 0.000 0.683
3 B 0.044 0.500 0.769
4 O 0.050 0.271 0.281
5 O 0.217 0.500 0.870

(5)
Calculated X-ray powder pattern
Compound: AcBe2AsO2
Radiation: Cu Kα
Structure: a structure optimized by DFT (GGA-PBE)
No peak broadening, texture or thermal motion is included.

Largest 10 diffraction maxima, in order of rising 2θ, 10 to 80 degrees two-theta:
| (hkl) | d/Å | I (rel.) |
| --- | --- | --- |
| 1 0 -1 | 5.296 | 30 |
| 0 1 1 | 3.733 | 59 |
| 1 0 1 | 3.713 | 55 |
| 1 1 0 | 3.562 | 31 |
| 1 1 -1 | 3.453 | 100 |
| 0 1 2 | 2.651 | 58 |
| 2 1 0 | 2.422 | 39 |
| 2 1 -2 | 2.289 | 33 |
| 0 2 0 | 2.277 | 30 |
| 1 1 2 | 2.184 | 27 |

Cell and atoms:
a b c (Å): 6.090 4.554 6.944
angles (deg): 90.00 110.10 90.00
Space group P2_1/m (No. 11)
Inequivalent atoms, fractional coordinates:
1 Ac 0.180 0.250 0.327
2 Be 0.360 0.001 0.786
3 As 0.285 0.750 0.056
4 O 0.171 0.250 0.680
5 O 0.386 0.750 0.630

(6)
Calculated X-ray powder pattern
Compound: Li7Pd3Au
Radiation: Cu Kα
Structure: a structure optimized by DFT (GGA-PBE)
No peak broadening, texture or thermal motion is included.

Largest 10 diffraction maxima, in order of rising 2θ, 10 to 80 degrees two-theta:
| (hkl) | d/Å | I (rel.) |
| --- | --- | --- |
| 2 0 0 | 4.077 | 57 |
| 0 2 1 | 3.021 | 100 |
| 2 0 -2 | 2.329 | 16 |
| 0 4 0 | 2.272 | 12 |
| 2 2 1 | 2.088 | 21 |
| 4 2 -1 | 2.083 | 21 |
| 0 0 2 | 2.025 | 11 |
| 2 4 0 | 1.984 | 15 |
| 4 2 -3 | 1.446 | 11 |
| 2 4 2 | 1.273 | 10 |

Cell and atoms:
a b c (Å): 9.377 9.087 4.658
angles (deg): 90.00 119.60 90.00
Space group C2/m (No. 12)
Inequivalent atoms, fractional coordinates:
1 Li 0.000 0.000 0.000
2 Li 0.168 0.270 0.668
3 Li 0.178 0.500 0.177
4 Pd 0.000 0.274 0.000
5 Pd 0.000 0.500 0.500
6 Au 0.000 0.000 0.500

(7)
Calculated X-ray powder pattern
Compound: Pm4Rh3Pb
Radiation: Cu Kα
Structure: a structure optimized by DFT (GGA-PBE)
No peak broadening, texture or thermal motion is included.

Largest 10 diffraction maxima, in order of rising 2θ, 10 to 80 degrees two-theta:
| (hkl) | d/Å | I (rel.) |
| --- | --- | --- |
| 1 1 1 | 2.864 | 100 |
| 0 0 4 | 2.799 | 19 |
| 1 0 3 | 2.723 | 25 |
| 0 1 4 | 2.367 | 29 |
| 1 1 3 | 2.321 | 52 |
| 0 2 0 | 2.218 | 27 |
| 2 0 0 | 1.990 | 20 |
| 1 2 3 | 1.720 | 17 |
| 2 1 4 | 1.523 | 14 |
| 2 2 0 | 1.481 | 15 |

Cell and atoms:
a b c (Å): 3.981 4.437 11.197
angles (deg): 90.00 90.00 90.00
Space group Pmm2 (No. 25)
Inequivalent atoms, fractional coordinates:
1 Pm 0.000 0.000 0.000
2 Pm 0.000 0.500 0.260
3 Pm 0.500 0.000 0.462
4 Pm 0.500 0.500 0.787
5 Rh 0.000 0.500 0.525
6 Rh 0.500 0.000 0.202
7 Rh 0.500 0.500 0.038
8 Pb 0.000 0.000 0.692

(8)
Calculated X-ray powder pattern
Compound: Pr3Sm2Tl
Radiation: Cu Kα
Structure: a structure optimized by DFT (GGA-PBE)
No peak broadening, texture or thermal motion is included.

Largest 10 diffraction maxima, in order of rising 2θ, 10 to 80 degrees two-theta:
| (hkl) | d/Å | I (rel.) |
| --- | --- | --- |
| 2 2 0 | 3.229 | 44 |
| 0 2 1 | 3.072 | 25 |
| 2 2 -1 | 2.967 | 56 |
| 2 0 2 | 2.922 | 95 |
| 6 0 0 | 2.900 | 100 |
| 4 0 -2 | 2.845 | 89 |
| 2 2 1 | 2.832 | 48 |
| 4 2 0 | 2.716 | 30 |
| 4 2 -1 | 2.602 | 31 |
| 4 2 1 | 2.427 | 32 |

Cell and atoms:
a b c (Å): 17.625 6.953 6.648
angles (deg): 90.00 99.10 90.00
Space group C2/c (No. 15)
Inequivalent atoms, fractional coordinates:
1 Pr 0.000 0.233 0.250
2 Pr 0.168 0.116 0.044
3 Sm 0.161 0.393 0.574
4 Tl 0.000 0.276 0.750